This entry pairs a crystal structure of BeCo3 with its computed powder X-ray diffraction pattern. Radiation: copper Kα. Structure: the PBE geometry in Alexandria.

Cell and atoms:
```
data_BeCo3
_chemical_formula_sum 'Be2 Co6'
_cell_length_a 2.6565
_cell_length_b 3.8798
_cell_length_c 7.7234
_cell_angle_alpha 90.00
_cell_angle_beta 90.00
_cell_angle_gamma 90.00
_space_group_name_H-M_alt 'I m m m'
_space_group_IT_number 71
_space_group_name_Hall '-I 2 2'
loop_
_atom_site_label
_atom_site_type_symbol
_atom_site_fract_x
_atom_site_fract_y
_atom_site_fract_z
Be1 Be 0.0000 0.0000 0.0000
Co1 Co 0.0000 0.0000 0.5000
Co2 Co 0.0000 0.5000 0.2624
```

Principal peaks in the range 10 to 90 degrees two-theta, low angle first:
| 2θ/deg | I/Imax | index |
| --- | --- | --- |
| 23.0 | 15 | 0 0 2 |
| 25.7 | 17 | 0 1 1 |
| 35.7 | 14 | 1 0 1 |
| 42.1 | 15 | 0 1 3 |
| 46.8 | 27 | 0 2 0 |
| 47.1 | 25 | 0 0 4 |
| 47.7 | 100 | 1 1 2 |
| 68.6 | 15 | 0 2 4 |
| 87.6 | 15 | 1 3 2 |
| 88.0 | 13 | 1 1 6 |